Diffraction record for CoF4. The powder XRD pattern is theoretical, not measured: it uses DFT lattice parameters and positions (GGA+U) and CuKα.
Kinematic intensities with the Lorentz-polarization factor, no thermal factor.

Most intense lines, 2θ from 15° to 90°, most intense first:
| 2theta | I/Imax |
| --- | --- |
| 17.81 | 100 |
| 25.85 | 73 |
| 26.45 | 65 |
| 53.19 | 19 |
| 33.14 | 17 |
| 54.61 | 14 |
| 41.50 | 14 |
| 50.31 | 14 |
| 41.73 | 13 |
| 54.45 | 12 |

Atomic structure:
Cell lengths 5.5492, 4.8914, 5.4132 Å; angles 90.00, 116.15, 90.00 degrees
Space group P2_1/c (No. 14)
Inequivalent atoms, fractional coordinates:
Co (0.0000, 0.0000, 0.0000) [2 per cell]
F (0.1050, 0.1971, 0.3648) [4 per cell]
F (0.3200, 0.6247, 0.6272) [4 per cell]